[1]
Simulated PXRD pattern of CaTeHF for CuKα, from a structure optimized by DFT (GGA-PBE).
Lines closer than 0.1° are merged.

Unit cell a=4.072 b=4.074 c=6.026 alpha=105.75 beta=93.95 gamma=119.23
Atoms (fractional coordinates):
Ca 0.000 0.000 0.000
Te 0.208 0.377 0.581
H 0.955 0.606 0.569
F 0.693 0.361 0.055

Peak list (10 most intense, 2θ from 5° to 70°, in order of rising 2θ)
d 5.631, I 54
d 3.486, I 56
d 3.446, I 100
d 3.330, I 42
d 3.317, I 42
d 3.144, I 31
d 2.814, I 100
d 2.670, I 41
d 2.657, I 41
d 2.031, I 50

---

[2]
Simulated PXRD pattern of RbSmOsO6 for CuKα, from a structure optimized by DFT (GGA-PBE).
Lines closer than 0.1° are merged.

Unit cell a=5.743 b=5.743 c=6.097 alpha=90.00 beta=90.00 gamma=120.00
Atoms (fractional coordinates):
Rb 0.000 0.000 0.000
Sm 0.333 0.667 0.500
Os 0.667 0.333 0.500
O 0.412 0.055 0.678
O 0.412 0.357 0.322
O 0.643 0.055 0.322
O 0.643 0.588 0.678
O 0.945 0.357 0.678
O 0.945 0.588 0.322

Peak list (10 most intense, 2θ from 5° to 70°, in order of rising 2θ)
d 6.097, I 60
d 3.854, I 100
d 3.049, I 16
d 2.871, I 48
d 2.598, I 32
d 2.303, I 21
d 2.090, I 54
d 1.796, I 22
d 1.658, I 25
d 1.346, I 21

---

[3]
Simulated PXRD pattern of Cu3Ni4Ge for CuKα, from a structure optimized by DFT (GGA-PBE).
Lines closer than 0.1° are merged.

Unit cell a=8.254 b=5.279 c=4.237 alpha=90.00 beta=90.00 gamma=90.00
Atoms (fractional coordinates):
Cu 0.000 0.000 0.000
Cu 0.250 0.000 0.387
Cu 0.250 0.500 0.392
Cu 0.500 0.000 0.000
Cu 0.750 0.000 0.613
Cu 0.750 0.500 0.608
Ni 0.000 0.251 0.500
Ni 0.000 0.749 0.500
Ni 0.250 0.251 0.885
Ni 0.250 0.749 0.885
Ni 0.500 0.251 0.500
Ni 0.500 0.749 0.500
Ni 0.750 0.251 0.115
Ni 0.750 0.749 0.115
Ge 0.000 0.500 0.000
Ge 0.500 0.500 0.000

Peak list (10 most intense, 2θ from 5° to 70°, in order of rising 2θ)
d 2.240, I 2
d 2.162, I 18
d 2.119, I 14
d 2.063, I 37
d 2.052, I 17
d 1.969, I 100
d 1.885, I 10
d 1.737, I 9
d 1.679, I 9
d 1.478, I 8

---

[4]
Simulated PXRD pattern of Sr6AgPb5 for CuKα, from a structure optimized by DFT (GGA-PBE).
Lines closer than 0.1° are merged.

Unit cell a=9.244 b=9.244 c=7.998 alpha=90.00 beta=90.00 gamma=143.08
Atoms (fractional coordinates):
Sr 0.000 0.000 0.243
Sr 0.000 0.000 0.757
Sr 0.335 0.665 0.243
Sr 0.335 0.665 0.757
Sr 0.665 0.335 0.243
Sr 0.665 0.335 0.757
Ag 0.500 0.500 0.000
Pb 0.162 0.838 0.000
Pb 0.165 0.835 0.500
Pb 0.500 0.500 0.500
Pb 0.835 0.165 0.500
Pb 0.838 0.162 0.000

Peak list (10 most intense, 2θ from 5° to 70°, in order of rising 2θ)
d 4.137, I 16
d 3.999, I 7
d 2.925, I 52
d 2.875, I 100
d 2.361, I 8
d 2.068, I 20
d 2.000, I 9
d 1.679, I 41
d 1.651, I 19
d 1.438, I 12

---

[5]
Simulated PXRD pattern of LaYAs for CuKα, from a structure optimized by DFT (GGA-PBE).
Lines closer than 0.1° are merged.

Unit cell a=7.733 b=7.733 c=7.733 alpha=149.44 beta=133.12 gamma=57.00
Atoms (fractional coordinates):
La 0.236 0.000 0.236
La 0.764 0.000 0.764
Y 0.296 0.296 0.000
Y 0.704 0.704 0.000
As 0.148 0.648 0.500
As 0.852 0.352 0.500

Peak list (10 most intense, 2θ from 5° to 70°, in order of rising 2θ)
d 3.031, I 100
d 2.802, I 54
d 2.416, I 56
d 2.403, I 17
d 2.280, I 15
d 2.265, I 14
d 2.038, I 18
d 1.822, I 28
d 1.648, I 22
d 1.371, I 22

---

[6]
Simulated PXRD pattern of DyErCuNi for CuKα, from a structure optimized by DFT (GGA-PBE).
Lines closer than 0.1° are merged.

Unit cell a=4.386 b=5.397 c=5.397 alpha=39.80 beta=90.00 gamma=90.00
Atoms (fractional coordinates):
Dy 0.000 0.000 0.000
Er 0.500 0.278 0.278
Cu 0.500 0.568 0.568
Ni 0.000 0.713 0.713

Peak list (10 most intense, 2θ from 5° to 70°, in order of rising 2θ)
d 3.318, I 40
d 2.714, I 100
d 2.538, I 25
d 2.489, I 39
d 2.194, I 47
d 2.165, I 47
d 1.837, I 17
d 1.659, I 14
d 1.646, I 33
d 1.409, I 22